Starting from a crystal structure in the Materials Project, relaxed with GGA-PBE, the X-ray powder pattern of NaLaTiP2SO12 was simulated for CuKα.

```
data_NaLaTiP2SO12
_chemical_formula_sum 'Na4 La4 Ti4 P8 S4 O48'
_space_group_name_H-M_alt 'C 1 c 1'
_space_group_IT_number 9
_space_group_name_Hall 'C -2yc'
_cell_length_a 16.1666
_cell_length_b 9.0738
_cell_length_c 9.2508
_cell_angle_alpha 90.00
_cell_angle_beta 122.87
_cell_angle_gamma 90.00
loop_
_atom_site_label
_atom_site_fract_x
_atom_site_fract_y
_atom_site_fract_z
Na1 0.0000 0.2388 0.0000
La1 0.1608 0.2423 0.4516
Ti1 0.3817 0.2444 0.0863
P1 0.2870 0.0422 0.2793
P2 0.4035 0.4170 0.7715
S1 0.1111 0.3752 0.7762
O1 0.0240 0.2900 0.7615
O2 0.0934 0.4677 0.2913
O3 0.1034 0.3547 0.6128
O4 0.2028 0.3185 0.9263
O5 0.2159 0.0431 0.6177
O6 0.2266 0.1552 0.3051
O7 0.3119 0.3553 0.6148
O8 0.3423 0.0731 0.9374
O9 0.3648 0.1254 0.2590
O10 0.4007 0.4097 0.2556
O11 0.4015 0.3682 0.9393
O12 0.4981 0.3598 0.7914
```

Main lines, by intensity (10 to 90 degrees two-theta):
- 19.2 deg, I 100, (2 0 -2)
- 22.7 deg, I 76, (0 2 1)
- 18.7 deg, I 76, (1 1 1)
- 13.7 deg, I 40, (1 1 -1)
- 21.9 deg, I 38, (3 1 0)
- 30.3 deg, I 38, (0 2 2)
- 30.6 deg, I 37, (3 1 -3)
- 29.4 deg, I 37, (3 1 1)
- 27.5 deg, I 37, (2 2 -2)
- 23.6 deg, I 36, (4 0 -2)
- 19.6 deg, I 35, (0 2 0)
- 34.0 deg, I 34, (3 3 -1)